This entry pairs a crystal structure of CsRbZnGeTeH with its computed PXRD pattern. Radiation: CuKα. Structure: the PBE geometry in Alexandria.
Neutral-atom scattering factors, no anomalous dispersion.

Crystal structure
```
data_CsRbZnGeTeH
_cell_length_a 13.913
_cell_length_b 4.260
_cell_length_c 9.292
_cell_angle_alpha 90.00
_cell_angle_beta 130.53
_cell_angle_gamma 90.00
_symmetry_space_group_name_H-M 'C 1 m 1'
_symmetry_Int_Tables_number 8
loop_
_symmetry_equiv_pos_as_xyz
'x,y,z'
'x,-y,z'
'x+1/2,y+1/2,z'
'x+1/2,-y+1/2,z'
loop_
_atom_site_label
_atom_site_type_symbol
_atom_site_fract_x
_atom_site_fract_y
_atom_site_fract_z
Cs1 Cs 0.000 0.000 0.000
Rb1 Rb 0.439 0.000 0.444
Zn1 Zn 0.219 0.000 0.624
Ge1 Ge 0.229 0.000 0.901
Te1 Te 0.216 0.500 0.444
H1 H 0.074 0.000 0.752
```

The 10 most intense peaks (10 to 90 degrees two-theta), in order of rising 2θ:
- d 6.898, I = 53.5
- d 3.872, I = 44.1
- d 3.531, I = 63.1
- d 3.449, I = 55.0
- d 3.139, I = 100.0
- d 3.110, I = 89.7
- d 2.644, I = 44.7
- d 2.505, I = 72.2
- d 2.130, I = 31.5
- d 1.836, I = 27.9


This entry pairs a crystal structure of Li3TiF6 with its computed PXRD pattern. Radiation: CuKα. Structure: the PBE geometry in Alexandria.
Neutral-atom scattering factors, no anomalous dispersion.

Crystal structure
```
data_Li3TiF6
_cell_length_a 7.838
_cell_length_b 7.838
_cell_length_c 7.838
_cell_angle_alpha 90.00
_cell_angle_beta 90.00
_cell_angle_gamma 90.00
_symmetry_space_group_name_H-M 'F m -3 m'
_symmetry_Int_Tables_number 225
_symmetry_space_group_name_Hall '-F 4 2 3'
loop_
_atom_site_label
_atom_site_type_symbol
_atom_site_fract_x
_atom_site_fract_y
_atom_site_fract_z
Li1 Li 0.000 0.000 0.000
Li2 Li 0.250 0.250 0.250
Ti1 Ti 0.000 0.000 0.500
F1 F 0.000 0.000 0.250
```

The 10 most intense peaks (10 to 90 degrees two-theta), in order of rising 2θ:
- d 4.525, I = 49.2
- d 3.919, I = 100.0
- d 2.363, I = 24.9
- d 2.263, I = 22.6
- d 1.959, I = 59.2
- d 1.798, I = 10.0
- d 1.753, I = 31.8
- d 1.386, I = 29.8
- d 1.306, I = 12.3
- d 1.131, I = 8.8


This entry pairs a crystal structure of TiNb14Sb with its computed PXRD pattern. Radiation: CuKα. Structure: the PBE geometry in Alexandria.
Neutral-atom scattering factors, no anomalous dispersion.

Crystal structure
```
data_TiNb14Sb
_cell_length_a 6.704
_cell_length_b 9.328
_cell_length_c 9.361
_cell_angle_alpha 90.00
_cell_angle_beta 90.00
_cell_angle_gamma 90.00
_symmetry_space_group_name_H-M 'C m m m'
_symmetry_Int_Tables_number 65
_symmetry_space_group_name_Hall '-C 2 2'
loop_
_atom_site_label
_atom_site_type_symbol
_atom_site_fract_x
_atom_site_fract_y
_atom_site_fract_z
Ti1 Ti 0.000 0.000 0.000
Nb1 Nb 0.000 0.000 0.500
Nb2 Nb 0.000 0.251 0.246
Nb3 Nb 0.000 0.500 0.500
Nb4 Nb 0.241 0.000 0.256
Nb5 Nb 0.250 0.250 0.000
Nb6 Nb 0.250 0.250 0.500
Sb1 Sb 0.000 0.500 0.000
```

The 10 most intense peaks (10 to 90 degrees two-theta), in order of rising 2θ:
- d 2.353, I = 100.0
- d 2.340, I = 24.5
- d 2.332, I = 24.5
- d 1.676, I = 8.6
- d 1.652, I = 16.3
- d 1.362, I = 16.6
- d 1.354, I = 16.1
- d 1.350, I = 16.3
- d 1.177, I = 10.2
- d 1.166, I = 2.5


This entry pairs a crystal structure of Nd2GaCu3 with its computed PXRD pattern. Radiation: CuKα. Structure: the PBE geometry in Alexandria.
Neutral-atom scattering factors, no anomalous dispersion.

Crystal structure
```
data_Nd2GaCu3
_cell_length_a 7.655
_cell_length_b 8.661
_cell_length_c 15.033
_cell_angle_alpha 90.00
_cell_angle_beta 90.00
_cell_angle_gamma 90.00
_symmetry_space_group_name_H-M 'F m m m'
_symmetry_Int_Tables_number 69
_symmetry_space_group_name_Hall '-F 2 2'
loop_
_atom_site_label
_atom_site_type_symbol
_atom_site_fract_x
_atom_site_fract_y
_atom_site_fract_z
Nd1 Nd 0.240 0.000 0.000
Nd2 Nd 0.250 0.250 0.250
Ga1 Ga 0.000 0.000 0.334
Cu1 Cu 0.000 0.000 0.167
Cu2 Cu 0.000 0.248 0.417
```

The 10 most intense peaks (10 to 90 degrees two-theta), in order of rising 2θ:
- d 3.752, I = 9.5
- d 2.680, I = 100.0
- d 2.168, I = 48.0
- d 1.914, I = 10.7
- d 1.685, I = 24.4
- d 1.435, I = 24.1
- d 1.331, I = 14.5
- d 1.329, I = 7.2
- d 1.251, I = 5.1
- d 1.208, I = 7.5


This entry pairs a crystal structure of K3Ca2 with its computed PXRD pattern. Radiation: CuKα. Structure: the PBE geometry in Alexandria.
Neutral-atom scattering factors, no anomalous dispersion.

Crystal structure
```
data_K3Ca2
_cell_length_a 14.748
_cell_length_b 38.834
_cell_length_c 3.971
_cell_angle_alpha 90.00
_cell_angle_beta 90.00
_cell_angle_gamma 90.00
_symmetry_space_group_name_H-M 'F d d 2'
_symmetry_Int_Tables_number 43
_symmetry_space_group_name_Hall 'F 2 -2d'
loop_
_atom_site_label
_atom_site_type_symbol
_atom_site_fract_x
_atom_site_fract_y
_atom_site_fract_z
K1 K 0.000 0.000 0.000
K2 K 0.016 0.398 0.060
Ca1 Ca 0.009 0.294 0.629
```

The 10 most intense peaks (10 to 90 degrees two-theta), in order of rising 2θ:
- d 3.687, I = 32.1
- d 3.437, I = 100.0
- d 2.870, I = 28.6
- d 2.265, I = 12.3
- d 2.146, I = 10.9
- d 2.077, I = 9.5
- d 1.984, I = 7.6
- d 1.917, I = 5.9
- d 1.810, I = 5.3
- d 1.594, I = 5.5


This entry pairs a crystal structure of Sr5ZrTi4O15 with its computed PXRD pattern. Radiation: CuKα. Structure: the PBE geometry in Alexandria.
Neutral-atom scattering factors, no anomalous dispersion.

Crystal structure
```
data_Sr5ZrTi4O15
_cell_length_a 4.012
_cell_length_b 4.012
_cell_length_c 19.911
_cell_angle_alpha 90.00
_cell_angle_beta 90.00
_cell_angle_gamma 90.00
_symmetry_space_group_name_H-M 'P 4/m m m'
_symmetry_Int_Tables_number 123
_symmetry_space_group_name_Hall '-P 4 2'
loop_
_atom_site_label
_atom_site_type_symbol
_atom_site_fract_x
_atom_site_fract_y
_atom_site_fract_z
Sr1 Sr 0.000 0.000 0.000
Sr2 Sr 0.000 0.000 0.196
Sr3 Sr 0.000 0.000 0.390
Zr1 Zr 0.500 0.500 0.500
Ti1 Ti 0.500 0.500 0.098
Ti2 Ti 0.500 0.500 0.295
O1 O 0.000 0.500 0.098
O2 O 0.000 0.500 0.294
O3 O 0.000 0.500 0.500
O4 O 0.500 0.500 0.000
O5 O 0.500 0.500 0.196
O6 O 0.500 0.500 0.392
```

The 10 most intense peaks (10 to 90 degrees two-theta), in order of rising 2θ:
- d 2.837, I = 52.7
- d 2.826, I = 100.0
- d 2.311, I = 21.9
- d 2.006, I = 42.5
- d 1.991, I = 18.1
- d 1.636, I = 38.5
- d 1.630, I = 17.0
- d 1.419, I = 12.0
- d 1.413, I = 21.1
- d 1.155, I = 10.4


This entry pairs a crystal structure of UMn2S4 with its computed PXRD pattern. Radiation: CuKα. Structure: the PBE geometry in Alexandria.
Neutral-atom scattering factors, no anomalous dispersion.

Crystal structure
```
data_UMn2S4
_cell_length_a 8.306
_cell_length_b 8.306
_cell_length_c 7.800
_cell_angle_alpha 90.00
_cell_angle_beta 90.00
_cell_angle_gamma 90.00
_symmetry_space_group_name_H-M 'I -4 m 2'
_symmetry_Int_Tables_number 119
_symmetry_space_group_name_Hall 'I -4 -2'
loop_
_atom_site_label
_atom_site_type_symbol
_atom_site_fract_x
_atom_site_fract_y
_atom_site_fract_z
U1 U 0.000 0.000 0.000
U2 U 0.000 0.500 0.250
Mn1 Mn 0.000 0.247 0.626
S1 S 0.000 0.186 0.321
S2 S 0.000 0.314 0.929
```

The 10 most intense peaks (10 to 90 degrees two-theta), in order of rising 2θ:
- d 5.686, I = 53.3
- d 4.153, I = 83.9
- d 3.354, I = 100.0
- d 3.249, I = 55.2
- d 2.609, I = 28.7
- d 2.481, I = 59.9
- d 2.209, I = 69.8
- d 2.179, I = 63.0
- d 2.077, I = 34.8
- d 1.625, I = 37.2


This entry pairs a crystal structure of Rb2Cd9Ag6 with its computed PXRD pattern. Radiation: CuKα. Structure: the PBE geometry in Alexandria.
Neutral-atom scattering factors, no anomalous dispersion.

Crystal structure
```
data_Rb2Cd9Ag6
_cell_length_a 6.1637
_cell_length_b 6.1637
_cell_length_c 13.9429
_cell_angle_alpha 90.00
_cell_angle_beta 90.00
_cell_angle_gamma 120.00
_symmetry_space_group_name_H-M 'P 6/m m m'
_symmetry_Int_Tables_number 191
_symmetry_space_group_name_Hall '-P 6 2'
loop_
_atom_site_label
_atom_site_type_symbol
_atom_site_fract_x
_atom_site_fract_y
_atom_site_fract_z
Rb1 Rb 0.0000 0.0000 0.1729
Cd1 Cd 0.0000 0.5000 0.0000
Cd2 Cd 0.0000 0.5000 0.3377
Ag1 Ag 0.3333 0.6667 0.1689
Ag2 Ag 0.3333 0.6667 0.5000
```

The 10 most intense peaks (10 to 90 degrees two-theta), in order of rising 2θ:
- d 5.338, I = 57.6
- d 3.082, I = 14.9
- d 2.669, I = 29.7
- d 2.568, I = 100.0
- d 2.324, I = 30.6
- d 2.314, I = 74.7
- d 1.753, I = 15.8
- d 1.662, I = 25.3
- d 1.541, I = 24.4
- d 1.284, I = 25.6